(1)
For NdSm2Cr2C4, the GGA-PBE geometry in Alexandria gives the simulated powder XRD pattern in this record (Cu Kα X-rays).
Peak positions follow from Bragg's law for the DFT cell and can differ from measured ones.

Largest 8 diffraction maxima, most intense first, 10° ≤ 2θ ≤ 90°:
2θ/deg	I_rel
33.43	100
38.76	91
26.92	75
26.07	71
31.63	61
39.83	53
35.07	37
23.42	27

Structural model:
```
NdSm2Cr2C4
1.0
6.9349 -1.7686 0.0000
6.9349 1.7686 0.0000
-1.7056 0.0000 5.6574
Nd Sm Cr C
1 2 2 4
Direct
0.0000 0.0000 0.0000 Nd
0.1398 0.1398 0.5504 Sm
0.8602 0.8602 0.4496 Sm
0.3161 0.3161 0.9917 Cr
0.6839 0.6839 0.0083 Cr
0.2141 0.2141 0.1701 C
0.4326 0.4326 0.2299 C
0.5674 0.5674 0.7701 C
0.7859 0.7859 0.8299 C
```

=====

(2)
For Cr4Ni2C, the GGA-PBE geometry in Alexandria gives the simulated powder XRD pattern in this record (Cu Kα X-rays).
Peak positions follow from Bragg's law for the DFT cell and can differ from measured ones.

Largest 8 diffraction maxima, most intense first, 10° ≤ 2θ ≤ 90°:
2θ/deg	I_rel
44.49	100
41.82	29
48.68	28
76.37	26
51.85	12
14.50	11
78.25	6
83.79	6

Structural model:
```
Cr4Ni2C
1.0
0.0000 5.2905 5.2905
5.2905 0.0000 5.2905
5.2905 5.2905 0.0000
Cr Ni C
16 8 4
Direct
0.0000 0.0000 0.0000 Cr
0.0000 0.0000 0.5000 Cr
0.0000 0.5000 0.0000 Cr
0.1842 0.1842 0.5658 Cr
0.1842 0.5658 0.1842 Cr
0.1842 0.5658 0.5658 Cr
0.4342 0.4342 0.8158 Cr
0.4342 0.8158 0.4342 Cr
0.4342 0.8158 0.8158 Cr
0.5000 0.0000 0.0000 Cr
0.5658 0.1842 0.1842 Cr
0.5658 0.1842 0.5658 Cr
0.5658 0.5658 0.1842 Cr
0.8158 0.4342 0.4342 Cr
0.8158 0.4342 0.8158 Cr
0.8158 0.8158 0.4342 Cr
0.1290 0.7903 0.7903 Ni
0.2097 0.2097 0.2097 Ni
0.2097 0.2097 0.8710 Ni
0.2097 0.8710 0.2097 Ni
0.7903 0.1290 0.7903 Ni
0.7903 0.7903 0.1290 Ni
0.7903 0.7903 0.7903 Ni
0.8710 0.2097 0.2097 Ni
0.0000 0.5000 0.5000 C
0.5000 0.0000 0.5000 C
0.5000 0.5000 0.0000 C
0.5000 0.5000 0.5000 C
```

=====

(3)
For Cr3Ni2C, the GGA-PBE geometry in Alexandria gives the simulated powder XRD pattern in this record (Cu Kα X-rays).
Peak positions follow from Bragg's law for the DFT cell and can differ from measured ones.

Largest 8 diffraction maxima, most intense first, 10° ≤ 2θ ≤ 90°:
2θ/deg	I_rel
43.24	100
45.71	53
48.08	29
77.55	25
82.81	20
54.71	13
84.55	5
62.81	5

Structural model:
```
Cr3Ni2C
1.0
6.2770 0.0000 0.0000
0.0000 6.2770 0.0000
0.0000 0.0000 6.2770
Cr Ni C
12 8 4
Direct
0.0496 0.1250 0.7996 Cr
0.1250 0.7996 0.0496 Cr
0.2004 0.5496 0.3750 Cr
0.2996 0.4504 0.8750 Cr
0.3750 0.2004 0.5496 Cr
0.4504 0.8750 0.2996 Cr
0.5496 0.3750 0.2004 Cr
0.6250 0.7004 0.9504 Cr
0.7004 0.9504 0.6250 Cr
0.7996 0.0496 0.1250 Cr
0.8750 0.2996 0.4504 Cr
0.9504 0.6250 0.7004 Cr
0.0645 0.9355 0.4355 Ni
0.1855 0.1855 0.1855 Ni
0.3145 0.8145 0.6855 Ni
0.4355 0.0645 0.9355 Ni
0.5645 0.5645 0.5645 Ni
0.6855 0.3145 0.8145 Ni
0.8145 0.6855 0.3145 Ni
0.9355 0.4355 0.0645 Ni
0.1250 0.3750 0.6250 C
0.3750 0.6250 0.1250 C
0.6250 0.1250 0.3750 C
0.8750 0.8750 0.8750 C
```